Diffraction record for KMnCl3. The powder diffractogram is theoretical, not measured: it uses a cell relaxed with GGA-PBE and Cu Ka.
Neutral-atom scattering factors, no anomalous dispersion.

Top 10 peaks for 2θ = 15–90°, most intense first:
- 2θ = 31.24°, intensity 100
- 2θ = 23.13°, intensity 41
- 2θ = 41.18°, intensity 29
- 2θ = 48.07°, intensity 27
- 2θ = 44.11°, intensity 25
- 2θ = 32.39°, intensity 25
- 2θ = 23.25°, intensity 23
- 2θ = 20.72°, intensity 20
- 2θ = 16.83°, intensity 20
- 2θ = 24.85°, intensity 19

Crystal structure
```
KMnCl3
1.0
6.762 -6.916 0.000
6.762 6.916 0.000
-0.045 0.000 6.300
K Mn Cl
4 4 12
Cartesian
2.863 1.429 2.276
2.841 -1.429 5.427
10.639 1.429 0.874
10.617 -1.429 4.024
6.751 3.952 1.575
6.729 0.963 4.725
6.751 -0.963 1.575
6.729 -3.952 4.725
1.706 1.575 5.502
5.552 2.914 3.402
1.729 -1.575 2.352
5.235 0.712 0.327
7.905 2.914 6.048
5.213 -0.712 3.477
8.267 0.712 2.824
5.575 -2.914 0.252
8.244 -0.712 5.974
11.751 1.575 3.948
7.928 -2.914 2.898
11.774 -1.575 0.798
```